No. 1
# NaSmSc4Se8
Theoretical powder XRD pattern, copper Kα. Input: DFT lattice parameters and positions (GGA-PBE).
Neutral-atom scattering factors, no anomalous dispersion.

abc: 8.0548 8.0548 20.5036
angles: 90.00 90.00 120.00
Space group R3m (No. 160, hexagonal axes)
Symmetry-distinct sites (fractional):
Na  0.0000  0.0000  0.0000 x3
Sm  0.0000  0.0000  0.6352 x3
Sc  0.0000  0.0000  0.2592 x3
Sc  0.1741  0.3482  0.4626 x9
Se  0.0000  0.0000  0.3898 x3
Se  0.0000  0.0000  0.8676 x3
Se  0.0190  0.5095  0.3918 x9
Se  0.1707  0.3414  0.2083 x9

Top 6 peaks for 2θ from 5° to 70°, low angle first:
index, Position (°2θ), I_rel
1 0 1, 13.4, 33
1 1 3, 25.7, 27
2 0 2, 27.0, 26
0 2 4, 31.0, 100
2 0 8, 43.8, 45
2 2 0, 45.0, 48



No. 2
# Na2ScTeSe4
Theoretical powder XRD pattern, copper Kα. Input: DFT lattice parameters and positions (GGA-PBE).
Neutral-atom scattering factors, no anomalous dispersion.

abc: 11.507 11.480 8.037
angles: 90.00 129.30 90.00
Space group C2/c (No. 15)
Symmetry-distinct sites (fractional):
Na  0.000  0.000  0.000 x4
Na  0.250  0.250  0.000 x4
Sc  0.000  0.500  0.000 x4
Te  0.250  0.250  0.500 x4
Se  0.022  0.262  0.523 x8
Se  0.215  0.493  0.446 x8

Top 6 peaks for 2θ from 5° to 70°, low angle first:
index, Position (°2θ), I_rel
1 1 -1, 13.5, 53
0 0 2, 28.7, 100
0 4 0, 31.2, 94
4 0 -2, 31.3, 91
0 4 2, 42.9, 63
4 4 -2, 44.7, 63



No. 3
# Na2TmScSe4
Theoretical powder XRD pattern, copper Kα. Input: DFT lattice parameters and positions (GGA-PBE).
Neutral-atom scattering factors, no anomalous dispersion.

abc: 6.961 4.022 7.358
angles: 90.00 108.38 90.00
Space group P2/m (No. 10)
Symmetry-distinct sites (fractional):
Na  0.000  0.000  0.000 x1
Na  0.500  0.500  0.000 x1
Tm  0.000  0.500  0.500 x1
Sc  0.500  0.000  0.500 x1
Se  0.249  0.000  0.725 x2
Se  0.268  0.500  0.280 x2

Top 6 peaks for 2θ from 5° to 70°, low angle first:
index, Position (°2θ), I_rel
0 0 1, 12.7, 40
1 1 1, 30.8, 100
1 1 -3, 43.2, 36
0 2 0, 45.1, 13
3 1 -1, 45.1, 24
2 2 -2, 55.6, 18



No. 4
# NaTm4ScSe8
Theoretical powder XRD pattern, copper Kα. Input: DFT lattice parameters and positions (GGA-PBE).
Neutral-atom scattering factors, no anomalous dispersion.

abc: 8.3440 8.3440 20.1094
angles: 90.00 90.00 120.00
Space group R3m (No. 160, hexagonal axes)
Symmetry-distinct sites (fractional):
Na  0.0000  0.0000  0.0000 x3
Tm  0.0000  0.0000  0.2453 x3
Tm  0.1732  0.3463  0.4540 x9
Sc  0.0000  0.0000  0.6291 x3
Se  0.0000  0.0000  0.3797 x3
Se  0.0000  0.0000  0.8630 x3
Se  0.0332  0.5166  0.3719 x9
Se  0.1799  0.3598  0.2044 x9

Top 6 peaks for 2θ from 5° to 70°, low angle first:
index, Position (°2θ), I_rel
0 0 3, 13.2, 33
0 2 1, 25.0, 60
1 1 3, 25.1, 38
0 2 4, 30.5, 100
2 2 0, 43.4, 70
2 0 8, 43.9, 70



No. 5
# NaScSn
Theoretical powder XRD pattern, copper Kα. Input: DFT lattice parameters and positions (GGA-PBE).
Neutral-atom scattering factors, no anomalous dispersion.

abc: 8.775 5.064 8.833
angles: 90.00 109.64 90.00
Space group Cm (No. 8)
Symmetry-distinct sites (fractional):
Na  0.000  0.000  0.000 x2
Na  0.148  0.000  0.438 x2
Sc  0.034  0.500  0.592 x2
Sc  0.260  0.500  0.277 x2
Sn  0.378  0.500  0.626 x2
Sn  0.408  0.000  0.222 x2

Top 6 peaks for 2θ from 5° to 70°, low angle first:
index, Position (°2θ), I_rel
0 0 1, 10.6, 54
1 1 -1, 21.4, 85
2 0 0, 21.5, 29
1 1 -3, 35.3, 31
0 2 0, 35.4, 100
2 2 0, 41.8, 26



No. 6
# Na4Th3ScTe8
Theoretical powder XRD pattern, copper Kα. Input: DFT lattice parameters and positions (GGA-PBE).
Neutral-atom scattering factors, no anomalous dispersion.

abc: 8.7195 8.7195 23.3799
angles: 90.00 90.00 120.00
Space group R-3m (No. 166, hexagonal axes)
Symmetry-distinct sites (fractional):
Na  0.0000  0.0000  0.0000 x3
Na  0.0000  0.5000  0.0000 x9
Th  0.0000  0.5000  0.5000 x9
Sc  0.0000  0.0000  0.5000 x3
Te  0.0000  0.0000  0.2498 x6
Te  0.0152  0.5076  0.2453 x18

Top 6 peaks for 2θ from 5° to 70°, low angle first:
index, Position (°2θ), I_rel
0 0 3, 11.4, 38
0 2 4, 28.1, 100
2 0 8, 39.0, 41
2 2 0, 41.4, 35
4 0 4, 50.8, 19
2 2 12, 64.1, 18



No. 7
# NaScTi
Theoretical powder XRD pattern, copper Kα. Input: DFT lattice parameters and positions (GGA-PBE).
Neutral-atom scattering factors, no anomalous dispersion.

abc: 3.108 4.717 10.205
angles: 90.00 98.52 90.00
Space group P2_1/m (No. 11)
Symmetry-distinct sites (fractional):
Na  0.198  0.250  0.399 x2
Sc  0.408  0.250  0.810 x2
Ti  0.026  0.250  0.055 x2

Top 6 peaks for 2θ from 5° to 70°, low angle first:
index, Position (°2θ), I_rel
0 0 1, 8.8, 100
0 1 3, 32.7, 31
1 1 -1, 34.9, 24
1 0 2, 36.4, 17
1 1 1, 37.1, 18
0 2 0, 38.2, 20



No. 8
# Na2ScW
Theoretical powder XRD pattern, copper Kα. Input: DFT lattice parameters and positions (GGA-PBE).
Neutral-atom scattering factors, no anomalous dispersion.

abc: 3.906 3.906 23.999
angles: 90.00 90.00 90.00
Space group I-42d (No. 122)
Symmetry-distinct sites (fractional):
Na  0.241  0.250  0.125 x8
Sc  0.000  0.000  0.500 x4
W  0.000  0.000  0.000 x4

Top 6 peaks for 2θ from 5° to 70°, low angle first:
index, Position (°2θ), I_rel
0 0 4, 14.8, 100
1 0 1, 23.1, 42
0 0 8, 29.8, 46
1 1 2, 33.3, 96
1 1 6, 39.7, 59
2 0 4, 49.1, 45